Entry 1:
For Pm2Zn3Cu4, a cell relaxed with GGA-PBE gives the computed X-ray powder pattern in this record (CuKα).
Neutral-atom scattering factors, no anomalous dispersion.

a = 5.086 Å, b = 9.148 Å, c = 13.409 Å
α = 90.00°, β = 90.00°, γ = 90.00°
Space group Fmmm (No. 69)
Symmetry-distinct sites (fractional):
1 Pm 0.000 0.000 0.142 x8
2 Zn 0.000 0.000 0.500 x4
3 Zn 0.250 0.250 0.000 x8
4 Cu 0.000 0.177 0.331 x16

Largest 10 diffraction maxima, in order of rising 2θ, 10° ≤ 2θ ≤ 90°:
| 2theta | I (rel.) |
| --- | --- |
| 28.31 | 30.6 |
| 33.13 | 16.1 |
| 34.95 | 23.8 |
| 35.29 | 24.1 |
| 39.40 | 13.6 |
| 39.94 | 100.0 |
| 40.36 | 29.2 |
| 40.59 | 15.1 |
| 44.73 | 21.0 |
| 66.47 | 20.9 |

***

Entry 2:
For Sm3Dy4Zn4, a cell relaxed with GGA-PBE gives the computed X-ray powder pattern in this record (CuKα).
Neutral-atom scattering factors, no anomalous dispersion.

a = 5.096 Å, b = 7.126 Å, c = 16.109 Å
α = 90.00°, β = 90.00°, γ = 90.00°
Space group Immm (No. 71)
Symmetry-distinct sites (fractional):
1 Sm 0.000 0.000 0.000 x2
2 Sm 0.000 0.500 0.103 x4
3 Dy 0.000 0.271 0.322 x8
4 Zn 0.000 0.000 0.187 x4
5 Zn 0.000 0.181 0.500 x4

Largest 10 diffraction maxima, in order of rising 2θ, 10° ≤ 2θ ≤ 90°:
| 2theta | I (rel.) |
| --- | --- |
| 24.08 | 24.0 |
| 27.37 | 18.4 |
| 30.45 | 27.7 |
| 30.96 | 37.0 |
| 31.13 | 100.0 |
| 32.89 | 27.9 |
| 33.37 | 18.7 |
| 34.98 | 41.4 |
| 35.22 | 52.4 |
| 41.75 | 20.7 |

***

Entry 3:
For Na6TlIn, a cell relaxed with GGA-PBE gives the computed X-ray powder pattern in this record (CuKα).
Neutral-atom scattering factors, no anomalous dispersion.

a = 8.7123 Å, b = 8.7123 Å, c = 11.1280 Å
α = 90.00°, β = 90.00°, γ = 120.00°
Space group R-3 (No. 148, hexagonal axes)
Symmetry-distinct sites (fractional):
1 Na 0.0005 0.2481 0.2507 x18
2 Tl 0.0000 0.0000 0.0000 x3
3 In 0.0000 0.0000 0.5000 x3

Largest 10 diffraction maxima, in order of rising 2θ, 10° ≤ 2θ ≤ 90°:
| 2theta | I (rel.) |
| --- | --- |
| 19.83 | 100.0 |
| 20.39 | 95.7 |
| 28.59 | 78.7 |
| 34.36 | 49.0 |
| 35.37 | 90.5 |
| 35.70 | 42.9 |
| 53.71 | 26.7 |
| 54.90 | 24.9 |
| 55.61 | 24.0 |
| 55.84 | 24.3 |

***

Entry 4:
For TbHgBPt4, a cell relaxed with GGA-PBE gives the computed X-ray powder pattern in this record (CuKα).
Neutral-atom scattering factors, no anomalous dispersion.

a = 10.559 Å, b = 10.559 Å, c = 10.559 Å
α = 90.00°, β = 90.00°, γ = 90.00°
Space group F-43m (No. 216)
Symmetry-distinct sites (fractional):
1 Tb 0.000 0.000 0.000 x4
2 Hg 0.250 0.250 0.250 x4
3 B 0.250 0.250 0.750 x4
4 Pt 0.143 0.143 0.857 x16

Largest 10 diffraction maxima, in order of rising 2θ, 10° ≤ 2θ ≤ 90°:
| 2theta | I (rel.) |
| --- | --- |
| 14.53 | 100.0 |
| 23.83 | 52.4 |
| 28.03 | 71.6 |
| 29.30 | 64.6 |
| 37.11 | 62.4 |
| 41.91 | 30.9 |
| 44.59 | 62.8 |
| 48.79 | 46.5 |
| 62.85 | 18.8 |
| 66.23 | 21.3 |

***

Entry 5:
For Rb3CaNp3Te8, a cell relaxed with GGA-PBE gives the computed X-ray powder pattern in this record (CuKα).
Neutral-atom scattering factors, no anomalous dispersion.

a = 15.661 Å, b = 9.047 Å, c = 10.065 Å
α = 90.00°, β = 121.20°, γ = 90.00°
Space group C2/m (No. 12)
Symmetry-distinct sites (fractional):
1 Rb 0.000 0.000 0.000 x2
2 Rb 0.250 0.250 0.000 x4
3 Ca 0.000 0.000 0.500 x2
4 Np 0.000 0.500 0.500 x2
5 Np 0.250 0.250 0.500 x4
6 Te 0.021 0.261 0.302 x8
7 Te 0.233 0.500 0.699 x4
8 Te 0.240 0.000 0.698 x4

Largest 10 diffraction maxima, in order of rising 2θ, 10° ≤ 2θ ≤ 90°:
| 2theta | I (rel.) |
| --- | --- |
| 10.28 | 49.7 |
| 13.22 | 11.0 |
| 26.62 | 100.0 |
| 33.36 | 22.5 |
| 36.05 | 33.6 |
| 39.87 | 37.1 |
| 41.28 | 10.9 |
| 45.02 | 13.3 |
| 48.58 | 19.1 |
| 64.59 | 16.1 |

***

Entry 6:
For NaPu4Te5, a cell relaxed with GGA-PBE gives the computed X-ray powder pattern in this record (CuKα).
Neutral-atom scattering factors, no anomalous dispersion.

a = 4.437 Å, b = 6.300 Å, c = 22.602 Å
α = 90.00°, β = 90.00°, γ = 90.00°
Space group Immm (No. 71)
Symmetry-distinct sites (fractional):
1 Na 0.000 0.000 0.000 x2
2 Pu 0.000 0.000 0.202 x4
3 Pu 0.000 0.000 0.402 x4
4 Te 0.000 0.500 0.000 x2
5 Te 0.000 0.500 0.199 x4
6 Te 0.000 0.500 0.396 x4

Largest 10 diffraction maxima, in order of rising 2θ, 10° ≤ 2θ ≤ 90°:
| 2theta | I (rel.) |
| --- | --- |
| 28.18 | 100.0 |
| 28.33 | 49.6 |
| 39.89 | 19.6 |
| 40.39 | 79.1 |
| 40.67 | 19.0 |
| 49.64 | 21.1 |
| 50.31 | 20.7 |
| 66.05 | 18.0 |
| 66.28 | 18.1 |
| 73.81 | 20.3 |

***

Entry 7:
For Cs2BaIrO6, a cell relaxed with GGA-PBE gives the computed X-ray powder pattern in this record (CuKα).
Neutral-atom scattering factors, no anomalous dispersion.

a = 9.123 Å, b = 9.123 Å, c = 9.123 Å
α = 90.00°, β = 90.00°, γ = 90.00°
Space group Fm-3m (No. 225)
Symmetry-distinct sites (fractional):
1 Cs 0.250 0.250 0.250 x8
2 Ba 0.000 0.000 0.000 x4
3 Ir 0.000 0.000 0.500 x4
4 O 0.000 0.000 0.292 x24

Largest 10 diffraction maxima, in order of rising 2θ, 10° ≤ 2θ ≤ 90°:
| 2theta | I (rel.) |
| --- | --- |
| 16.83 | 5.0 |
| 19.46 | 3.8 |
| 27.65 | 100.0 |
| 39.51 | 27.2 |
| 48.91 | 39.8 |
| 57.11 | 17.1 |
| 64.61 | 20.1 |
| 71.67 | 5.5 |
| 78.44 | 22.4 |
| 85.06 | 2.7 |

***

Entry 8:
For RbTlZnGeSe, a cell relaxed with GGA-PBE gives the computed X-ray powder pattern in this record (CuKα).
Neutral-atom scattering factors, no anomalous dispersion.

a = 3.987 Å, b = 4.250 Å, c = 8.745 Å
α = 90.00°, β = 90.00°, γ = 90.00°
Space group Pmm2 (No. 25)
Symmetry-distinct sites (fractional):
1 Rb 0.000 0.000 0.000 x1
2 Tl 0.500 0.500 0.651 x1
3 Zn 0.000 0.500 0.359 x1
4 Ge 0.000 0.000 0.556 x1
5 Se 0.500 0.500 0.195 x1

Largest 10 diffraction maxima, in order of rising 2θ, 10° ≤ 2θ ≤ 90°:
| 2theta | I (rel.) |
| --- | --- |
| 10.11 | 61.6 |
| 20.31 | 38.1 |
| 29.30 | 62.3 |
| 30.34 | 79.6 |
| 30.73 | 100.0 |
| 32.45 | 29.2 |
| 37.13 | 90.6 |
| 42.54 | 31.2 |
| 46.72 | 31.4 |
| 53.14 | 32.9 |